Structure and simulated powder diffractogram of SrFeO4 (a PBE+U-relaxed structure; copper Kα).

Principal peaks in the range 10° ≤ 2θ ≤ 90°, in order of rising 2θ:
2θ 24.1, rel. 100, (1 1 0)
2θ 27.2, rel. 28, (0 0 2)
2θ 34.3, rel. 41, (2 0 0)
2θ 36.7, rel. 69, (1 1 2)
2θ 41.0, rel. 11, (2 1 1)
2θ 44.4, rel. 39, (2 0 2)
2θ 55.6, rel. 20, (3 1 0)
2θ 57.3, rel. 22, (2 2 2)
2θ 62.0, rel. 14, (1 1 4)
2θ 63.0, rel. 26, (3 1 2)
2θ 78.0, rel. 11, (2 2 4)
2θ 83.0, rel. 12, (3 1 4)

Crystal structure
a b c (Å): 5.223 5.223 6.554
angles (deg): 90.00 90.00 90.00
Space group P4_2/nmc (No. 137, origin choice 2)
Inequivalent atoms, fractional coordinates:
Sr: 0.250 0.750 0.250 [2 per cell]
Fe: 0.250 0.750 0.750 [2 per cell]
O: 0.007 0.250 0.101 [8 per cell]